Starting from DFT lattice parameters and positions (GGA+U), the XRD peak list of K2VIr3O12 was computed for Cu Kα X-rays.
Lines closer than 0.1° are merged.

Structural model:
Lattice parameters (Å, degrees): 7.158 7.158 7.158 60.09 60.09 60.09
Sites, in units of the cell vectors:
K1 0.125 0.125 0.125
K2 0.875 0.875 0.875
V1 0.500 0.500 0.500
Ir1 0.000 0.500 0.500
Ir2 0.500 0.000 0.500
Ir3 0.500 0.500 0.000
O1 0.176 0.176 0.574
O2 0.176 0.574 0.176
O3 0.189 0.565 0.565
O4 0.426 0.824 0.824
O5 0.435 0.435 0.811
O6 0.435 0.811 0.435
O7 0.565 0.189 0.565
O8 0.565 0.565 0.189
O9 0.574 0.176 0.176
O10 0.811 0.435 0.435
O11 0.824 0.426 0.824
O12 0.824 0.824 0.426

The 10 most intense peaks (2θ = 10–90°), sorted by position:
- d 5.844, 15.2 deg, I = 100
- d 3.055, 29.2 deg, I = 94
- d 2.924, 30.6 deg, I = 68
- d 2.532, 35.4 deg, I = 14
- d 2.324, 38.8 deg, I = 15
- d 1.949, 46.6 deg, I = 30
- d 1.791, 51.0 deg, I = 39
- d 1.713, 53.5 deg, I = 21
- d 1.528, 60.6 deg, I = 22
- d 1.319, 71.5 deg, I = 19